This entry pairs a crystal structure of Np3Co5O16 with its computed powder X-ray diffraction pattern. Radiation: Cu Kα (λ = 1.5418 Å). Structure: a structure optimized by DFT (GGA+U).
Peak positions follow from Bragg's law for the DFT cell and can differ from measured ones.

Largest 12 diffraction maxima, in order of rising 2θ, 5° ≤ 2θ ≤ 70°:
- 17.10 deg, d = 5.186 Å, intensity 49
- 17.94 deg, d = 4.944 Å, intensity 24
- 19.76 deg, d = 4.493 Å, intensity 100
- 24.68 deg, d = 3.607 Å, intensity 26
- 28.10 deg, d = 3.176 Å, intensity 35
- 32.46 deg, d = 2.759 Å, intensity 61
- 33.68 deg, d = 2.661 Å, intensity 49
- 34.59 deg, d = 2.593 Å, intensity 24
- 40.15 deg, d = 2.246 Å, intensity 20
- 42.46 deg, d = 2.129 Å, intensity 27
- 45.36 deg, d = 1.999 Å, intensity 26
- 59.87 deg, d = 1.545 Å, intensity 19

Structural model:
```
data_Np3Co5O16
_space_group_name_H-M_alt 'P 1'
_space_group_IT_number 1
_cell_length_a 6.2273
_cell_length_b 6.2273
_cell_length_c 9.0453
_cell_angle_alpha 95.52
_cell_angle_beta 95.52
_cell_angle_gamma 66.07
loop_
_space_group_symop_operation_xyz
'x,y,z'
loop_
_atom_site_label
_atom_site_type_symbol
_atom_site_fract_x
_atom_site_fract_y
_atom_site_fract_z
_atom_site_occupancy
Np1 Np 0.0000 0.0000 0.0000 1
Np2 Np 0.2484 0.7438 0.5070 1
Np3 Np 0.7438 0.2484 0.5070 1
Co1 Co 0.0018 0.4983 0.9984 1
Co2 Co 0.2468 0.2468 0.5127 1
Co3 Co 0.4983 0.0018 0.9984 1
Co4 Co 0.5130 0.5130 0.1462 1
Co5 Co 0.7857 0.7857 0.7465 1
O1 O 0.0665 0.0665 0.3991 1
O2 O 0.0973 0.5687 0.3997 1
O3 O 0.0995 0.6667 0.8782 1
O4 O 0.1303 0.1303 0.8730 1
O5 O 0.3282 0.3282 0.0775 1
O6 O 0.3514 0.8544 0.1027 1
O7 O 0.4216 0.9067 0.6169 1
O8 O 0.4301 0.4301 0.6208 1
O9 O 0.5434 0.5434 0.3735 1
O10 O 0.5687 0.0973 0.3997 1
O11 O 0.6667 0.0995 0.8782 1
O12 O 0.6842 0.6842 0.9044 1
O13 O 0.8544 0.3514 0.1027 1
O14 O 0.8744 0.8744 0.1326 1
O15 O 0.9067 0.4216 0.6169 1
O16 O 0.9256 0.9256 0.6206 1
```